Diffraction record for Pm2AlIn3. The powder XRD pattern is simulated, not measured: it uses DFT lattice parameters and positions (PBE) and CuKα.
Peak positions follow from Bragg's law for the DFT cell and can differ from measured ones.

Crystal structure
```
Pm2AlIn3
1.0
3.684 0.000 0.000
0.000 4.894 0.000
0.000 0.000 8.488
Pm Al In
2 1 3
Cartesian
0.000 0.000 0.000 Pm
0.000 2.447 4.122 Pm
1.842 0.000 2.739 Al
1.842 0.000 5.510 In
1.842 2.447 1.414 In
1.842 2.447 7.019 In
```

Top 8 peaks for 15 to 90 degrees two-theta, sorted by position:
| h k l | 2θ/deg | d [Å] | I_rel |
| --- | --- | --- | --- |
| 1 1 1 | 32.19 | 2.781 | 100 |
| 0 2 0 | 36.70 | 2.449 | 66 |
| 2 0 0 | 49.53 | 1.840 | 19 |
| 1 2 2 | 49.62 | 1.837 | 19 |
| 2 2 0 | 63.18 | 1.472 | 35 |
| 1 3 1 | 63.28 | 1.469 | 19 |
| 0 3 3 | 66.09 | 1.414 | 11 |
| 2 3 3 | 86.90 | 1.121 | 15 |